(1)
Structure and computed X-ray diffraction stick pattern of CaMn2O4 (a crystal structure in the Materials Project, relaxed with PBE+U; Cu Kα X-rays).

Lattice parameters (Å, degrees): 6.273 6.357 10.706 73.66 89.02 60.97
Sites, in units of the cell vectors:
Ca  0.000  0.000  0.000
Ca  0.074  0.859  0.691
Ca  0.490  0.016  0.496
Ca  0.578  0.844  0.190
Mn  0.062  0.367  0.688
Mn  0.078  0.343  0.187
Mn  0.158  0.690  0.382
Mn  0.329  0.356  0.940
Mn  0.574  0.362  0.692
Mn  0.581  0.344  0.188
Mn  0.660  0.699  0.883
Mn  0.825  0.347  0.439
O  0.006  0.546  0.820
O  0.128  0.179  0.564
O  0.213  0.581  0.041
O  0.214  0.155  0.058
O  0.233  0.544  0.592
O  0.413  0.167  0.280
O  0.452  0.559  0.817
O  0.469  0.128  0.819
O  0.508  0.532  0.317
O  0.633  0.165  0.058
O  0.666  0.592  0.584
O  0.698  0.164  0.572
O  0.737  0.536  0.087
O  0.906  0.178  0.785
O  0.955  0.541  0.315
O  0.959  0.077  0.313

Principal peaks in the range 10 to 80 degrees two-theta, in order of falling intensity:
| 2θ/deg | d [Å] | I_rel | index |
| --- | --- | --- | --- |
| 33.0 | 2.716 | 100 | 2 0 0 |
| 16.8 | 5.281 | 94 | 0 1 0 |
| 33.7 | 2.660 | 67 | -1 1 3 |
| 33.5 | 2.674 | 62 | 2 2 0 |
| 57.6 | 1.600 | 58 | 0 2 -4 |
| 27.9 | 3.199 | 52 | 0 1 -2 |
| 33.3 | 2.694 | 47 | 2 1 2 |
| 33.9 | 2.644 | 44 | 2 1 -2 |
| 34.0 | 2.635 | 41 | 0 1 4 |
| 39.8 | 2.264 | 37 | 2 0 2 |

(2)
Structure and computed X-ray diffraction stick pattern of CaMn2O4 (a crystal structure in the Materials Project, relaxed with PBE+U; Cu Kα X-rays).

Lattice parameters (Å, degrees): 9.222 3.141 10.705 90.00 90.00 90.00
Sites, in units of the cell vectors:
Ca  0.243  0.250  0.157
Ca  0.257  0.750  0.657
Ca  0.743  0.250  0.343
Ca  0.757  0.750  0.843
Mn  0.064  0.250  0.389
Mn  0.081  0.250  0.895
Mn  0.419  0.750  0.395
Mn  0.436  0.750  0.889
Mn  0.564  0.250  0.111
Mn  0.581  0.250  0.605
Mn  0.919  0.750  0.105
Mn  0.936  0.750  0.611
O  0.019  0.750  0.779
O  0.087  0.250  0.570
O  0.113  0.750  0.029
O  0.217  0.750  0.336
O  0.283  0.250  0.836
O  0.387  0.250  0.529
O  0.413  0.750  0.070
O  0.481  0.250  0.279
O  0.519  0.750  0.721
O  0.587  0.250  0.930
O  0.613  0.750  0.471
O  0.717  0.750  0.164
O  0.783  0.250  0.664
O  0.887  0.250  0.971
O  0.913  0.750  0.430
O  0.981  0.250  0.221

Principal peaks in the range 10 to 80 degrees two-theta, in order of falling intensity:
| 2θ/deg | d [Å] | I_rel | index |
| --- | --- | --- | --- |
| 34.5 | 2.598 | 100 | 1 1 2 |
| 33.6 | 2.666 | 75 | 3 0 2 |
| 33.5 | 2.676 | 39 | 0 0 4 |
| 60.7 | 1.526 | 33 | 4 1 4 |
| 48.9 | 1.863 | 32 | 2 1 4 |
| 39.5 | 2.284 | 31 | 1 1 3 |
| 69.4 | 1.353 | 25 | 3 2 2 |
| 49.0 | 1.858 | 22 | 4 1 0 |
| 58.8 | 1.570 | 22 | 0 2 0 |
| 19.2 | 4.615 | 21 | 2 0 0 |

(3)
Structure and computed X-ray diffraction stick pattern of Ca8Mn8O21 (a crystal structure in the Materials Project, relaxed with PBE+U; Cu Kα X-rays).

Lattice parameters (Å, degrees): 7.650 7.764 7.727 90.00 93.02 90.00
Sites, in units of the cell vectors:
Ca  0.000  0.234  0.000
Ca  0.000  0.766  0.000
Ca  0.447  0.243  0.485
Ca  0.447  0.757  0.485
Ca  0.459  0.234  0.967
Ca  0.459  0.766  0.967
Ca  0.966  0.252  0.483
Ca  0.966  0.748  0.483
Mn  0.183  0.500  0.739
Mn  0.198  0.000  0.735
Mn  0.207  0.000  0.241
Mn  0.224  0.500  0.246
Mn  0.690  0.000  0.727
Mn  0.701  0.500  0.219
Mn  0.711  0.000  0.233
Mn  0.714  0.500  0.756
O  0.183  0.500  0.989
O  0.199  0.252  0.746
O  0.199  0.748  0.746
O  0.205  0.000  0.485
O  0.215  0.000  0.992
O  0.236  0.500  0.500
O  0.241  0.244  0.232
O  0.241  0.756  0.232
O  0.444  0.000  0.743
O  0.481  0.500  0.314
O  0.597  0.500  0.964
O  0.645  0.000  0.467
O  0.668  0.265  0.711
O  0.668  0.735  0.711
O  0.672  0.000  0.990
O  0.698  0.248  0.241
O  0.698  0.752  0.241
O  0.925  0.500  0.646
O  0.943  0.000  0.734
O  0.957  0.000  0.225
O  0.959  0.500  0.243

Principal peaks in the range 10 to 80 degrees two-theta, in order of falling intensity:
| 2θ/deg | d [Å] | I_rel | index |
| --- | --- | --- | --- |
| 32.9 | 2.723 | 100 | 2 2 0 |
| 32.7 | 2.737 | 94 | 0 2 2 |
| 32.1 | 2.789 | 67 | 2 0 -2 |
| 33.9 | 2.646 | 58 | 2 0 2 |
| 46.8 | 1.941 | 51 | 0 4 0 |
| 47.1 | 1.929 | 44 | 0 0 4 |
| 57.9 | 1.594 | 40 | 2 4 -2 |
| 47.6 | 1.910 | 36 | 4 0 0 |
| 68.6 | 1.368 | 23 | 0 4 4 |
| 23.3 | 3.820 | 22 | 2 0 0 |